Entry 1:
Structure and computed PXRD pattern of AcNd2Er6 (a crystal structure in Alexandria, relaxed with PBE; Cu Kα (λ = 1.5418 Å)).
Kinematic intensities with the Lorentz-polarization factor, no thermal factor.

Main lines, sorted by position (2θ from 15° to 90°):
hkl 2 1 1, 2θ = 29.77°, I = 40
hkl 1 1 -2, 2θ = 31.12°, I = 100
hkl 1 0 3, 2θ = 31.25°, I = 100
hkl 0 2 -1, 2θ = 32.20°, I = 55
hkl 2 2 0, 2θ = 35.22°, I = 18
hkl 1 -2 4, 2θ = 56.80°, I = 27

Cell and atoms:
Unit cell a=6.003 b=6.621 c=9.030 alpha=80.73 beta=70.87 gamma=63.28
Space group P-1 (No. 2)
Unique sites:
Ac  0.000  0.000  0.000 [1 per cell]
Nd  0.357  0.154  0.246 [2 per cell]
Er  0.096  0.311  0.641 [2 per cell]
Er  0.268  0.767  0.544 [2 per cell]
Er  0.403  0.408  0.867 [2 per cell]

=====

Entry 2:
Structure and computed PXRD pattern of Ac7Nd4Er (a crystal structure in Alexandria, relaxed with PBE; Cu Kα (λ = 1.5418 Å)).
Kinematic intensities with the Lorentz-polarization factor, no thermal factor.

Main lines, sorted by position (2θ from 15° to 90°):
hkl 0 0 3, 2θ = 28.35°, I = 100
hkl 2 0 2, 2θ = 28.40°, I = 99
hkl 1 2 3, 2θ = 32.75°, I = 69
hkl 1 -2 2, 2θ = 33.13°, I = 33
hkl 0 4 1, 2θ = 47.28°, I = 50
hkl 2 4 3, 2θ = 55.83°, I = 46

Cell and atoms:
Unit cell a=6.678 b=7.689 c=10.213 alpha=78.48 beta=71.11 gamma=89.67
Space group P-1 (No. 2)
Unique sites:
Ac  0.000  0.000  0.000 [1 per cell]
Ac  0.164  0.418  0.335 [2 per cell]
Ac  0.330  0.832  0.667 [2 per cell]
Ac  0.496  0.252  0.998 [2 per cell]
Nd  0.168  0.915  0.335 [2 per cell]
Nd  0.335  0.334  0.668 [2 per cell]
Er  0.000  0.500  0.000 [1 per cell]

=====

Entry 3:
Structure and computed PXRD pattern of Ac6Nd3Er (a crystal structure in Alexandria, relaxed with PBE; Cu Kα (λ = 1.5418 Å)).
Kinematic intensities with the Lorentz-polarization factor, no thermal factor.

Main lines, sorted by position (2θ from 15° to 90°):
hkl 2 0 2, 2θ = 27.64°, I = 39
hkl 2 2 0, 2θ = 28.33°, I = 37
hkl 2 2 -1, 2θ = 28.69°, I = 100
hkl 2 0 -3, 2θ = 29.43°, I = 75
hkl 0 2 2, 2θ = 30.98°, I = 47
hkl 2 2 1, 2θ = 31.28°, I = 35

Cell and atoms:
Unit cell a=12.173 b=7.460 c=9.426 alpha=90.00 beta=104.76 gamma=90.00
Space group C2/m (No. 12)
Unique sites:
Ac  0.129  0.000  0.406 [4 per cell]
Ac  0.167  0.255  0.798 [8 per cell]
Nd  0.000  0.500  0.500 [2 per cell]
Nd  0.087  0.500  0.161 [4 per cell]
Er  0.000  0.000  0.000 [2 per cell]

=====

Entry 4:
Structure and computed PXRD pattern of Ac2Nd8Er3 (a crystal structure in Alexandria, relaxed with PBE; Cu Kα (λ = 1.5418 Å)).
Kinematic intensities with the Lorentz-polarization factor, no thermal factor.

Main lines, sorted by position (2θ from 15° to 90°):
hkl 2 2 1, 2θ = 29.09°, I = 30
hkl 0 4 0, 2θ = 29.68°, I = 58
hkl 1 1 -2, 2θ = 29.79°, I = 34
hkl 4 2 -1, 2θ = 30.73°, I = 100
hkl 3 1 1, 2θ = 32.20°, I = 43
hkl 1 3 -2, 2θ = 36.66°, I = 22

Cell and atoms:
Unit cell a=13.441 b=12.038 c=6.290 alpha=90.00 beta=113.35 gamma=90.00
Space group C2/m (No. 12)
Unique sites:
Ac  0.197  0.000  0.338 [4 per cell]
Nd  0.078  0.000  0.758 [4 per cell]
Nd  0.141  0.500  0.069 [4 per cell]
Nd  0.160  0.251  0.662 [8 per cell]
Er  0.000  0.241  0.000 [4 per cell]
Er  0.000  0.500  0.500 [2 per cell]